Structure and simulated powder XRD pattern of LiB3O5 (a GGA-PBE-relaxed structure; Cu Kα X-rays).

Main lines, low angle first (10 to 80 degrees two-theta):
| 2theta | I/Imax |
| --- | --- |
| 15.8 | 41.5 |
| 23.2 | 100.0 |
| 26.9 | 75.9 |
| 29.5 | 82.5 |
| 31.3 | 28.9 |
| 36.4 | 55.6 |
| 37.8 | 26.1 |
| 38.0 | 31.1 |
| 40.3 | 29.7 |
| 42.2 | 24.2 |

Structural model:
Lattice parameters (Å, degrees): 8.519 7.424 5.258 90.00 90.00 90.00
Space group Pna2_1 (No. 33)
One atom of each set of equivalent atoms:
Li 0.080 0.069 0.000 x4
B 0.009 0.664 0.129 x4
B 0.159 0.747 0.755 x4
B 0.192 0.441 0.936 x4
O 0.058 0.797 0.955 x4
O 0.083 0.503 0.132 x4
O 0.114 0.294 0.787 x4
O 0.165 0.872 0.562 x4
O 0.240 0.588 0.757 x4